[1]
# K2SnH6O6
Theoretical powder X-ray diffraction pattern, Cu Kα, 1.54184 Å. Input: a PBE-relaxed structure.

Largest 10 diffraction maxima, by angle, 5° ≤ 2θ ≤ 70°:
d (Å), 2θ (°), I (rel.)
5.264, 16.8, 100
4.276, 20.8, 29
4.231, 21.0, 34
3.340, 26.7, 71
2.782, 32.2, 27
2.622, 34.2, 100
2.138, 42.3, 41
1.928, 47.1, 21
1.801, 50.7, 21
1.755, 52.1, 26

Cell and atoms:
Unit cell a=6.6802 b=6.6802 c=12.6936 alpha=90.00 beta=90.00 gamma=120.00
Space group R-3 (No. 148, hexagonal axes)
Inequivalent atoms, fractional coordinates:
K 0.0000 0.0000 0.2092 x6
Sn 0.0000 0.0000 0.5000 x3
H 0.0066 0.5629 0.3043 x18
O 0.0410 0.4611 0.2605 x18

=====

[2]
# SmCuSn
Theoretical powder X-ray diffraction pattern, Cu Kα, 1.54184 Å. Input: a PBE-relaxed structure.

Largest 10 diffraction maxima, by angle, 5° ≤ 2θ ≤ 70°:
d (Å), 2θ (°), I (rel.)
3.974, 22.4, 7
3.509, 25.4, 13
2.722, 32.9, 100
2.294, 39.3, 66
2.111, 42.8, 13
1.868, 48.7, 7
1.754, 52.1, 27
1.449, 64.3, 18
1.399, 66.9, 6
1.394, 67.2, 25

Cell and atoms:
Unit cell a=4.5889 b=4.5889 c=7.4733 alpha=90.00 beta=90.00 gamma=120.00
Space group P6_3mc (No. 186)
Inequivalent atoms, fractional coordinates:
Sm 0.0000 0.0000 0.0000 x2
Cu 0.3333 0.6667 0.1864 x2
Sn 0.3333 0.6667 0.7687 x2

=====

[3]
# CeMg6Cd
Theoretical powder X-ray diffraction pattern, Cu Kα, 1.54184 Å. Input: a PBE-relaxed structure.

Largest 10 diffraction maxima, by angle, 5° ≤ 2θ ≤ 70°:
d (Å), 2θ (°), I (rel.)
6.047, 14.6, 69
5.127, 17.3, 51
3.911, 22.7, 52
2.828, 31.6, 44
2.714, 33.0, 21
2.604, 34.4, 59
2.563, 35.0, 37
2.476, 36.3, 100
1.899, 47.9, 27
1.463, 63.6, 18

Cell and atoms:
Unit cell a=5.1267 b=6.3988 c=12.0943 alpha=90.00 beta=90.00 gamma=90.00
Space group Amm2 (No. 38)
Inequivalent atoms, fractional coordinates:
Ce 0.0000 0.0000 0.0000 x2
Mg 0.0000 0.2479 0.7444 x4
Mg 0.5000 0.0000 0.1604 x2
Mg 0.5000 0.0000 0.6308 x2
Mg 0.5000 0.2474 0.8931 x4
Cd 0.0000 0.0000 0.4658 x2

=====

[4]
# Ag2P2H2O7
Theoretical powder X-ray diffraction pattern, Cu Kα, 1.54184 Å. Input: a PBE-relaxed structure.

Largest 10 diffraction maxima, by angle, 5° ≤ 2θ ≤ 70°:
d (Å), 2θ (°), I (rel.)
6.059, 14.6, 22
5.173, 17.1, 30
3.514, 25.3, 51
3.116, 28.6, 55
3.029, 29.5, 100
2.790, 32.1, 32
2.587, 34.7, 49
2.344, 38.4, 26
2.332, 38.6, 40
1.873, 48.6, 19

Cell and atoms:
Unit cell a=7.1537 b=12.4645 c=28.1114 alpha=90.00 beta=90.00 gamma=90.00
Space group Fddd (No. 70, origin choice 2)
Inequivalent atoms, fractional coordinates:
Ag 0.0245 0.2678 0.4245 x32
P 0.0326 0.0191 0.3028 x32
H 0.1250 0.1250 0.5115 x16
H 0.1250 0.3026 0.6250 x16
O 0.0300 0.0449 0.7413 x32
O 0.0713 0.2855 0.3338 x32
O 0.1092 0.3053 0.6677 x32
O 0.1250 0.1250 0.2787 x16

=====

[5]
# ScAlCu
Theoretical powder X-ray diffraction pattern, Cu Kα, 1.54184 Å. Input: a PBE-relaxed structure.

Largest 10 diffraction maxima, by angle, 5° ≤ 2θ ≤ 70°:
d (Å), 2θ (°), I (rel.)
8.388, 10.5, 46
4.194, 21.2, 25
2.381, 37.8, 75
2.270, 39.7, 21
2.233, 40.4, 35
2.206, 40.9, 87
2.191, 41.2, 100
2.160, 41.8, 47
2.097, 43.1, 28
1.349, 69.7, 29

Cell and atoms:
Unit cell a=8.3881 b=5.2711 c=8.9399 alpha=90.00 beta=90.00 gamma=90.00
Space group Amm2 (No. 38)
Inequivalent atoms, fractional coordinates:
Sc 0.1839 0.0000 0.0000 x4
Sc 0.3035 0.0000 0.6662 x4
Al 0.2394 0.0000 0.3293 x4
Al 0.5000 0.2430 0.9213 x4
Cu 0.0000 0.0000 0.5039 x2
Cu 0.0000 0.2428 0.7473 x4
Cu 0.5000 0.0000 0.1649 x2

=====

[6]
# BaNaCeBiO6
Theoretical powder X-ray diffraction pattern, Cu Kα, 1.54184 Å. Input: a PBE-relaxed structure.

Largest 10 diffraction maxima, by angle, 5° ≤ 2θ ≤ 70°:
d (Å), 2θ (°), I (rel.)
5.018, 17.7, 16
4.346, 20.4, 27
3.073, 29.1, 100
2.621, 34.2, 9
2.173, 41.6, 31
1.944, 46.7, 12
1.774, 51.5, 42
1.537, 60.2, 20
1.449, 64.3, 6
1.374, 68.2, 19

Cell and atoms:
Unit cell a=8.6921 b=8.6921 c=8.6921 alpha=90.00 beta=90.00 gamma=90.00
Space group F-43m (No. 216)
Inequivalent atoms, fractional coordinates:
Ba 0.0000 0.0000 0.0000 x4
Na 0.0000 0.0000 0.5000 x4
Ce 0.2500 0.2500 0.7500 x4
Bi 0.2500 0.2500 0.2500 x4
O 0.0048 0.2500 0.2500 x24

=====

[7]
# KRb2AuF6
Theoretical powder X-ray diffraction pattern, Cu Kα, 1.54184 Å. Input: a PBE-relaxed structure.

Largest 10 diffraction maxima, by angle, 5° ≤ 2θ ≤ 70°:
d (Å), 2θ (°), I (rel.)
5.396, 16.4, 43
4.673, 19.0, 9
3.304, 27.0, 100
2.818, 31.8, 22
2.336, 38.5, 38
1.908, 47.7, 42
1.799, 50.8, 11
1.652, 55.6, 24
1.580, 58.4, 10
1.478, 62.9, 20

Cell and atoms:
Unit cell a=9.3453 b=9.3453 c=9.3453 alpha=90.00 beta=90.00 gamma=90.00
Space group Fm-3m (No. 225)
Inequivalent atoms, fractional coordinates:
K 0.0000 0.0000 0.0000 x4
Rb 0.2500 0.2500 0.2500 x8
Au 0.0000 0.0000 0.5000 x4
F 0.0000 0.0000 0.2701 x24

=====

[8]
# NdClO2
Theoretical powder X-ray diffraction pattern, Cu Kα, 1.54184 Å. Input: a PBE-relaxed structure.

Largest 10 diffraction maxima, by angle, 5° ≤ 2θ ≤ 70°:
d (Å), 2θ (°), I (rel.)
6.263, 14.1, 62
4.595, 19.3, 43
3.568, 25.0, 67
3.355, 26.6, 37
3.233, 27.6, 100
3.114, 28.7, 74
2.541, 35.3, 79
2.170, 41.6, 39
2.115, 42.8, 34
2.031, 44.6, 40

Cell and atoms:
Unit cell a=5.1033 b=4.3406 c=6.5984 alpha=90.00 beta=108.35 gamma=90.00
Space group P2_1/m (No. 11)
Inequivalent atoms, fractional coordinates:
Nd 0.1782 0.2500 0.3327 x2
Cl 0.2138 0.2500 0.9130 x2
O 0.2456 0.7500 0.5472 x2
O 0.3831 0.7500 0.3769 x2

=====

[9]
# Ba6MgNb2IrCl2O12
Theoretical powder X-ray diffraction pattern, Cu Kα, 1.54184 Å. Input: a PBE-relaxed structure.

Largest 10 diffraction maxima, by angle, 5° ≤ 2θ ≤ 70°:
d (Å), 2θ (°), I (rel.)
15.898, 5.6, 100
5.130, 17.3, 8
5.045, 17.6, 7
3.579, 24.9, 11
3.003, 29.8, 41
2.984, 29.9, 12
2.948, 30.3, 9
2.868, 31.2, 9
2.103, 43.0, 7
2.087, 43.4, 9

Cell and atoms:
Unit cell a=6.0065 b=6.0106 c=16.0692 alpha=97.26 beta=90.01 gamma=119.86
Space group P1 (No. 1)
Inequivalent atoms, fractional coordinates:
Ba 0.0000 0.0000 0.0000 x1
Ba 0.0196 0.0343 0.2429 x1
Ba 0.2016 0.3991 0.4648 x1
Ba 0.3036 0.6033 0.8688 x1
Ba 0.3473 0.6886 0.1244 x1
Ba 0.8970 0.7908 0.6033 x1
Mg 0.8084 0.6129 0.4036 x1
Nb 0.5216 0.0389 0.4039 x1
Nb 0.6737 0.3449 0.0418 x1
Ir 0.6566 0.3079 0.2403 x1
Cl 0.2856 0.5673 0.6595 x1
Cl 0.9434 0.8840 0.8020 x1
O 0.1876 0.8890 0.4553 x1
O 0.4041 0.2428 0.1413 x1
O 0.4123 0.8179 0.3029 x1
O 0.4520 0.3159 0.3443 x1
O 0.4601 0.4246 0.9770 x1
O 0.4939 0.9688 0.9924 x1
O 0.6988 0.3932 0.4991 x1
O 0.7062 0.8892 0.4556 x1
O 0.8442 0.6989 0.1099 x1
O 0.8489 0.2507 0.1419 x1
O 0.8692 0.3168 0.3444 x1
O 0.9710 0.4362 0.9781 x1